Calculated powder diffractogram
Compound: KZrCuS3
Radiation: CuKα
Structure: a structure optimized by DFT (PBE)
Peak positions follow from Bragg's law for the DFT cell and can differ from measured ones.

Structure:
```
data_KZrCuS3
_chemical_formula_sum 'K4 Zr4 Cu4 S12'
_cell_length_a 3.7639
_cell_length_b 14.3146
_cell_length_c 9.8361
_cell_angle_alpha 90.00
_cell_angle_beta 90.00
_cell_angle_gamma 90.00
_space_group_name_H-M_alt 'C m c m'
_space_group_IT_number 63
_space_group_name_Hall '-C 2c 2'
loop_
_atom_site_label
_atom_site_type_symbol
_atom_site_fract_x
_atom_site_fract_y
_atom_site_fract_z
_atom_site_occupancy
K1 K 0.0000 0.2453 0.2500 1
Zr1 Zr 0.0000 0.5000 0.0000 1
Cu1 Cu 0.0000 0.0326 0.7500 1
S1 S 0.0000 0.1201 0.5548 1
S2 S 0.0000 0.4354 0.7500 1
```

The 12 most intense peaks (2θ = 15–90°), by intensity:
two_theta, I (rel.), (hkl)
35.44, 100, 1 3 2
31.61, 82, 1 3 1
43.79, 69, 1 5 2
36.54, 50, 0 0 4
30.55, 47, 1 1 2
62.10, 35, 2 0 4
48.36, 31, 2 0 0
24.88, 28, 0 4 0
38.72, 27, 0 2 4
44.71, 25, 0 4 4
30.24, 25, 1 3 0
56.17, 23, 1 3 5